Record 1
Starting from a PBE-relaxed structure, the X-ray powder pattern of LaU2S5 was computed for copper Kα.
Neutral-atom scattering factors, no anomalous dispersion.

Structure:
```
data_LaU2S5
_cell_length_a 11.822
_cell_length_b 7.476
_cell_length_c 8.044
_cell_angle_alpha 90.00
_cell_angle_beta 90.00
_cell_angle_gamma 90.00
_space_group_name_H-M_alt 'P n a 21'
_space_group_IT_number 33
_space_group_name_Hall 'P 2c -2n'
loop_
_atom_site_label
_atom_site_type_symbol
_atom_site_fract_x
_atom_site_fract_y
_atom_site_fract_z
La1 La 0.177 0.026 0.000
U1 U 0.008 0.573 0.752
U2 U 0.180 0.019 0.502
S1 S 0.002 0.956 0.753
S2 S 0.093 0.670 0.458
S3 S 0.099 0.655 0.043
S4 S 0.187 0.331 0.751
S5 S 0.215 0.302 0.252
```

Most intense lines, 2θ = 5–70°, low angle first:
25.55 deg, d 3.486, I = 100
26.27 deg, d 3.393, I = 75
26.81 deg, d 3.325, I = 64
36.15 deg, d 2.484, I = 65
46.14 deg, d 1.967, I = 57
52.52 deg, d 1.743, I = 53

Record 2
Starting from a PBE-relaxed structure, the X-ray powder pattern of La10US16 was computed for copper Kα.
Neutral-atom scattering factors, no anomalous dispersion.

Structure:
```
data_La10US16
_cell_length_a 8.685
_cell_length_b 8.685
_cell_length_c 8.645
_cell_angle_alpha 90.00
_cell_angle_beta 90.00
_cell_angle_gamma 90.00
_space_group_name_H-M_alt 'P -4'
_space_group_IT_number 81
_space_group_name_Hall 'P -4'
loop_
_atom_site_label
_atom_site_type_symbol
_atom_site_fract_x
_atom_site_fract_y
_atom_site_fract_z
La1 La 0.000 0.500 0.250
La2 La 0.122 0.245 0.863
La3 La 0.245 0.632 0.621
U1 U 0.500 0.500 0.000
S1 S 0.079 0.181 0.188
S2 S 0.081 0.332 0.543
S3 S 0.181 0.571 0.950
S4 S 0.330 0.576 0.293
```

Most intense lines, 2θ = 5–70°, low angle first:
25.15 deg, d 3.540, I = 100
32.61 deg, d 2.746, I = 69
32.74 deg, d 2.735, I = 32
38.83 deg, d 2.319, I = 42
46.80 deg, d 1.941, I = 28
49.29 deg, d 1.849, I = 27